For Cd2Tc2O7, a crystal structure in the Materials Project, relaxed with PBE gives the computed powder diffraction line list in this record (Cu Kα, 1.54184 Å).
Peak positions follow from Bragg's law for the DFT cell and can differ from measured ones.

Cell and atoms:
a b c (Å): 7.304 7.304 7.304
angles (deg): 60.00 60.00 60.00
Atoms (fractional coordinates):
1 Cd 0.000 0.000 0.000
2 Cd 0.000 0.000 0.500
3 Cd 0.000 0.500 0.000
4 Cd 0.500 0.000 0.000
5 Tc 0.000 0.500 0.500
6 Tc 0.500 0.000 0.500
7 Tc 0.500 0.500 0.000
8 Tc 0.500 0.500 0.500
9 O 0.125 0.125 0.125
10 O 0.182 0.182 0.568
11 O 0.182 0.568 0.182
12 O 0.182 0.568 0.568
13 O 0.432 0.432 0.818
14 O 0.432 0.818 0.432
15 O 0.432 0.818 0.818
16 O 0.568 0.182 0.182
17 O 0.568 0.182 0.568
18 O 0.568 0.568 0.182
19 O 0.818 0.432 0.432
20 O 0.818 0.432 0.818
21 O 0.818 0.818 0.432
22 O 0.875 0.875 0.875

Main lines, in order of rising 2θ (10 to 90 degrees two-theta):
2θ (°)	Rel. int.
30.0	100.0
34.7	31.9
38.0	2.9
45.6	1.3
49.9	43.8
59.3	40.8
62.3	10.4
73.3	6.3
81.2	16.2
83.8	14.0